Cd5Hg: computed powder diffractogram (copper Kα), based on a structure optimized by DFT (GGA-PBE).

Main lines, in order of rising 2θ (2θ = 15–90°):
Position (°2θ)  I (rel.)
32.89  100
35.09  42
36.85  37
39.91  59
40.21  29
56.71  21

Crystal structure
Unit cell a=5.277 b=10.280 c=5.532 alpha=90.00 beta=112.40 gamma=90.00
Sites, in units of the cell vectors:
Cd 0.250 0.080 0.000
Cd 0.250 0.420 0.000
Cd 0.250 0.583 0.500
Cd 0.250 0.750 0.000
Cd 0.250 0.917 0.500
Cd 0.750 0.083 0.500
Cd 0.750 0.250 0.000
Cd 0.750 0.417 0.500
Cd 0.750 0.580 0.000
Cd 0.750 0.920 0.000
Hg 0.249 0.250 0.500
Hg 0.751 0.750 0.500